1.
This entry pairs a crystal structure of Mg4TlIn4 with its calculated PXRD pattern. Radiation: λ = 1.5418 Å (Cu Kα). Structure: the PBE geometry in Alexandria.

Atomic structure:
Cell: 9.6933 9.6933 4.7134 Å, 90.00 90.00 90.00°
Space group I4/mmm (No. 139)
Unique sites:
Mg (0.0000, 0.3360, 0.0000) [8 per cell]
Tl (0.0000, 0.0000, 0.0000) [2 per cell]
In (0.1712, 0.1712, 0.5000) [8 per cell]

Most intense lines, 2θ = 10–90°, sorted by position:
2θ = 12.9°, d 6.854, I 50, (1 1 0); 2θ = 26.0°, d 3.427, I 14, (2 2 0); 2θ = 28.0°, d 3.191, I 40, (2 1 1); 2θ = 33.6°, d 2.665, I 100, (3 0 1); 2θ = 38.2°, d 2.357, I 18, (0 0 2); 2θ = 39.4°, d 2.285, I 32, (3 3 0); 2θ = 43.0°, d 2.104, I 9, (4 1 1); 2θ = 56.1°, d 1.640, I 22, (3 3 2); 2θ = 57.0°, d 1.616, I 11, (6 0 0); 2θ = 66.1°, d 1.413, I 14, (3 0 3); 2θ = 67.8°, d 1.382, I 25, (6 3 1); 2θ = 70.7°, d 1.333, I 11, (6 0 2)

=====

2.
This entry pairs a crystal structure of CeMg2HgRu with its calculated PXRD pattern. Radiation: λ = 1.5418 Å (Cu Kα). Structure: the PBE geometry in Alexandria.

Atomic structure:
Cell: 5.1494 5.1494 5.0412 Å, 90.00 90.00 90.00°
Space group P4mm (No. 99)
Unique sites:
Ce (0.0000, 0.0000, 0.0000) [1 per cell]
Mg (0.0000, 0.5000, 0.4969) [2 per cell]
Hg (0.5000, 0.5000, 0.0866) [1 per cell]
Ru (0.0000, 0.0000, 0.5424) [1 per cell]

Most intense lines, 2θ = 10–90°, sorted by position:
2θ = 17.6°, d 5.041, I 21, (0 0 1); 2θ = 24.4°, d 3.641, I 100, (1 1 0); 2θ = 24.7°, d 3.602, I 44, (1 0 1); 2θ = 30.3°, d 2.952, I 57, (1 1 1); 2θ = 34.8°, d 2.575, I 65, (2 0 0); 2θ = 35.6°, d 2.521, I 24, (0 0 2); 2θ = 43.2°, d 2.095, I 20, (2 1 1); 2θ = 43.7°, d 2.072, I 36, (1 1 2); 2θ = 50.1°, d 1.821, I 23, (2 2 0); 2θ = 50.7°, d 1.801, I 35, (2 0 2); 2θ = 56.5°, d 1.628, I 20, (3 1 0); 2θ = 68.6°, d 1.368, I 19, (3 1 2)

=====

3.
This entry pairs a crystal structure of Sm2CuP3Pt4 with its calculated PXRD pattern. Radiation: λ = 1.5418 Å (Cu Kα). Structure: the PBE geometry in Alexandria.

Atomic structure:
Cell: 4.2653 4.2653 9.6484 Å, 90.00 90.00 90.00°
Space group P-4m2 (No. 115)
Unique sites:
Sm (0.0000, 0.5000, 0.2489) [2 per cell]
Cu (0.5000, 0.5000, 0.0000) [1 per cell]
P (0.0000, 0.0000, 0.0000) [1 per cell]
P (0.0000, 0.5000, 0.6337) [2 per cell]
Pt (0.0000, 0.0000, 0.5000) [1 per cell]
Pt (0.0000, 0.5000, 0.8748) [2 per cell]
Pt (0.5000, 0.5000, 0.5000) [1 per cell]

Most intense lines, 2θ = 10–90°, sorted by position:
2θ = 27.7°, d 3.216, I 19, (0 0 3); 2θ = 27.9°, d 3.195, I 29, (1 0 2); 2θ = 31.1°, d 2.879, I 58, (1 1 1); 2θ = 34.9°, d 2.568, I 59, (1 0 3); 2θ = 35.1°, d 2.557, I 100, (1 1 2); 2θ = 42.4°, d 2.133, I 71, (2 0 0); 2θ = 48.3°, d 1.884, I 26, (1 1 4); 2θ = 52.0°, d 1.758, I 20, (1 0 5); 2θ = 56.1°, d 1.641, I 31, (2 1 3); 2θ = 61.5°, d 1.508, I 24, (2 2 0); 2θ = 69.3°, d 1.357, I 17, (2 1 5); 2θ = 72.8°, d 1.299, I 31, (3 1 2)

=====

4.
This entry pairs a crystal structure of Dy2Ga12Pt7 with its calculated PXRD pattern. Radiation: λ = 1.5418 Å (Cu Kα). Structure: the PBE geometry in Alexandria.

Atomic structure:
Cell: 10.4370 10.4370 3.9021 Å, 90.00 90.00 120.00°
Space group P-6 (No. 174)
Unique sites:
Dy (0.0000, 0.0000, 0.0000) [1 per cell]
Dy (0.3333, 0.6667, 0.5000) [1 per cell]
Ga (0.0398, 0.7583, 0.5000) [3 per cell]
Ga (0.1247, 0.3941, 0.0000) [3 per cell]
Ga (0.3816, 0.2056, 0.0000) [3 per cell]
Ga (0.5301, 0.1166, 0.5000) [3 per cell]
Pt (0.0619, 0.6001, 0.0000) [3 per cell]
Pt (0.2440, 0.0275, 0.5000) [3 per cell]
Pt (0.6667, 0.3333, 0.0000) [1 per cell]

Most intense lines, 2θ = 10–90°, sorted by position:
2θ = 26.1°, d 3.416, I 46, (1 2 0); 2θ = 28.6°, d 3.125, I 20, (1 1 1); 2θ = 30.3°, d 2.954, I 37, (2 0 1); 2θ = 34.9°, d 2.570, I 100, (1 2 1); 2θ = 37.7°, d 2.385, I 16, (3 0 1); 2θ = 41.6°, d 2.169, I 23, (2 2 1); 2θ = 42.9°, d 2.109, I 45, (3 1 1); 2θ = 46.0°, d 1.972, I 54, (4 1 0); 2θ = 46.5°, d 1.951, I 33, (0 0 2); 2θ = 49.8°, d 1.831, I 27, (2 3 1); 2θ = 54.1°, d 1.694, I 13, (1 2 2); 2θ = 67.5°, d 1.388, I 48, (4 1 2)